(1)
For Li2TmTl, a structure optimized by DFT (PBE) gives the computed X-ray powder pattern in this record (copper Kα).
Kinematic intensities with the Lorentz-polarization factor, no thermal factor.

```
Li2TmTl
1.0
6.7937 0.0000 0.0000
0.0000 6.7937 0.0000
0.0000 0.0000 6.7937
Li Tm Tl
8 4 4
Direct
0.2500 0.2500 0.2500
0.2500 0.2500 0.7500
0.2500 0.7500 0.2500
0.2500 0.7500 0.7500
0.7500 0.2500 0.2500
0.7500 0.2500 0.7500
0.7500 0.7500 0.2500
0.7500 0.7500 0.7500
0.0000 0.0000 0.0000
0.0000 0.5000 0.5000
0.5000 0.0000 0.5000
0.5000 0.5000 0.0000
0.0000 0.0000 0.5000
0.0000 0.5000 0.0000
0.5000 0.0000 0.0000
0.5000 0.5000 0.5000
```

The 10 most intense peaks (2θ from 10° to 90°), low angle first:
- 22.67 deg, intensity 14
- 26.24 deg, intensity 1000
- 37.44 deg, intensity 890
- 44.22 deg, intensity 8
- 46.29 deg, intensity 294
- 53.99 deg, intensity 157
- 60.99 deg, intensity 391
- 67.55 deg, intensity 322
- 79.87 deg, intensity 102
- 85.82 deg, intensity 196



(2)
For Sr2ZnS3, a structure optimized by DFT (PBE) gives the computed X-ray powder pattern in this record (copper Kα).
Kinematic intensities with the Lorentz-polarization factor, no thermal factor.

```
Sr2ZnS3
1.0
8.5324 0.0000 0.0000
0.0000 4.0964 0.0000
0.0000 0.0000 16.5220
Sr Zn S
8 4 12
Direct
0.0802 0.2500 0.2151
0.2408 0.2500 0.9581
0.2592 0.7500 0.4581
0.4198 0.7500 0.7151
0.5802 0.2500 0.2849
0.7408 0.2500 0.5419
0.7592 0.7500 0.0419
0.9198 0.7500 0.7849
0.1270 0.2500 0.6334
0.3730 0.7500 0.1334
0.6270 0.2500 0.8666
0.8730 0.7500 0.3666
0.0088 0.2500 0.4012
0.1261 0.7500 0.0719
0.1812 0.2500 0.7736
0.3188 0.7500 0.2736
0.3739 0.2500 0.5719
0.4912 0.7500 0.9012
0.5088 0.2500 0.0988
0.6261 0.7500 0.4281
0.6812 0.2500 0.7264
0.8188 0.7500 0.2264
0.8739 0.2500 0.9281
0.9912 0.7500 0.5988
```

The 10 most intense peaks (2θ from 10° to 90°), low angle first:
- 27.13 deg, intensity 1000
- 28.98 deg, intensity 619
- 30.25 deg, intensity 842
- 30.74 deg, intensity 864
- 32.17 deg, intensity 748
- 32.52 deg, intensity 817
- 33.32 deg, intensity 591
- 36.49 deg, intensity 655
- 38.93 deg, intensity 565
- 44.23 deg, intensity 808



(3)
For BeH4NF3, a structure optimized by DFT (PBE) gives the computed X-ray powder pattern in this record (copper Kα).
Kinematic intensities with the Lorentz-polarization factor, no thermal factor.

```
BeH4NF3
1.0
4.3714 0.0000 0.0000
0.0000 6.0178 0.0000
0.0000 0.0000 13.9582
Be H N F
4 16 4 12
Direct
0.0915 0.0286 0.1184
0.4085 0.9714 0.6184
0.5915 0.4714 0.8816
0.9085 0.5286 0.3816
0.0051 0.9434 0.7836
0.0075 0.8026 0.8879
0.1797 0.5522 0.6230
0.2105 0.0484 0.8754
0.2895 0.9516 0.3754
0.3203 0.4478 0.1230
0.4925 0.1974 0.3879
0.4949 0.0566 0.2836
0.5051 0.5566 0.2164
0.5075 0.6974 0.1121
0.6797 0.9478 0.3770
0.7105 0.4516 0.1246
0.7895 0.5484 0.6246
0.8203 0.0522 0.8770
0.9925 0.3026 0.6121
0.9949 0.4434 0.7164
0.0125 0.9622 0.8567
0.4875 0.0378 0.3567
0.5125 0.5378 0.1433
0.9875 0.4622 0.6433
0.0133 0.2688 0.1084
0.0677 0.3803 0.3147
0.1327 0.0514 0.5669
0.3673 0.9486 0.0669
0.4323 0.6197 0.8147
0.4867 0.7312 0.6084
0.5133 0.2312 0.8916
0.5677 0.1197 0.6853
0.6327 0.4486 0.4331
0.8673 0.5514 0.9331
0.9323 0.8803 0.1853
0.9867 0.7688 0.3916
```

The 10 most intense peaks (2θ from 10° to 90°), low angle first:
- 25.53 deg, intensity 876
- 28.29 deg, intensity 715
- 31.78 deg, intensity 1000
- 32.84 deg, intensity 258
- 35.45 deg, intensity 277
- 36.18 deg, intensity 491
- 36.83 deg, intensity 310
- 38.55 deg, intensity 227
- 41.25 deg, intensity 459
- 46.74 deg, intensity 231



(4)
For ZnCu2GeSe2S2, a structure optimized by DFT (PBE) gives the computed X-ray powder pattern in this record (copper Kα).
Kinematic intensities with the Lorentz-polarization factor, no thermal factor.

```
ZnCu2GeSe2S2
1.0
0.0000 3.8892 5.4583
3.8725 0.0000 5.4583
3.8725 3.8892 0.0000
Zn Cu Ge Se S
1 2 1 2 2
Direct
0.0000 0.0000 0.0000
0.2658 0.2658 0.2342
0.7658 0.7658 0.7342
0.4992 0.4992 0.5008
0.3894 0.8799 0.1201
0.8799 0.3894 0.6106
0.1344 0.6184 0.8656
0.6184 0.1344 0.3816
```

The 10 most intense peaks (2θ from 10° to 90°), low angle first:
- 28.21 deg, intensity 1000
- 46.71 deg, intensity 118
- 46.95 deg, intensity 571
- 55.49 deg, intensity 139
- 55.63 deg, intensity 138
- 55.80 deg, intensity 130
- 68.37 deg, intensity 71
- 75.69 deg, intensity 77
- 86.91 deg, intensity 73
- 87.24 deg, intensity 106



(5)
For KPO4, a structure optimized by DFT (PBE) gives the computed X-ray powder pattern in this record (copper Kα).
Kinematic intensities with the Lorentz-polarization factor, no thermal factor.

```
KPO4
1.0
-3.8880 3.8880 3.5793
3.8880 -3.8880 3.5793
3.8880 3.8880 -3.5793
K P O
2 2 8
Direct
0.0000 0.0000 0.0000
0.7500 0.2500 0.5000
0.2500 0.7500 0.5000
0.5000 0.5000 0.0000
0.1164 0.7882 0.6519
0.1362 0.4644 0.3481
0.2118 0.8638 0.3282
0.2144 0.3862 0.8481
0.5356 0.8836 0.6718
0.5382 0.3664 0.1519
0.6138 0.4618 0.8282
0.6336 0.7856 0.1718
```

The 10 most intense peaks (2θ from 10° to 90°), low angle first:
- 22.87 deg, intensity 1000
- 29.78 deg, intensity 618
- 34.05 deg, intensity 188
- 36.88 deg, intensity 100
- 43.84 deg, intensity 111
- 44.71 deg, intensity 348
- 46.73 deg, intensity 102
- 61.86 deg, intensity 111
- 66.66 deg, intensity 98
- 76.37 deg, intensity 120



Which formula does entry 2 have? Sr2ZnS3



What is the formula in the third record? BeH4NF3